No. 1
Structure and theoretical XRD peak list of K5BaSb2 (a crystal structure in Alexandria, relaxed with PBE; Cu Kα X-rays).

Most intense lines, 2θ from 10° to 90°, low angle first:
| 2θ/deg | Rel. int. |
| --- | --- |
| 15.99 | 31 |
| 16.46 | 69 |
| 23.42 | 24 |
| 27.89 | 100 |
| 31.88 | 48 |
| 36.73 | 43 |
| 42.49 | 18 |
| 42.86 | 22 |
| 49.34 | 19 |
| 51.91 | 24 |

Atomic structure:
Cell: 6.3986 6.3986 22.7868 Å, 90.00 90.00 120.00°
Element x y z (fractional)
K1 0.0000 0.0000 0.1172
K2 0.0000 0.0000 0.3828
K3 0.0000 0.0000 0.6172
K4 0.0000 0.0000 0.8828
K5 0.3333 0.6667 0.0518
K6 0.3333 0.6667 0.2500
K7 0.3333 0.6667 0.4482
K8 0.6667 0.3333 0.5518
K9 0.6667 0.3333 0.7500
K10 0.6667 0.3333 0.9482
Ba1 0.3333 0.6667 0.7500
Ba2 0.6667 0.3333 0.2500
Sb1 0.3333 0.6667 0.6053
Sb2 0.3333 0.6667 0.8947
Sb3 0.6667 0.3333 0.1053
Sb4 0.6667 0.3333 0.3947

---

No. 2
Structure and theoretical XRD peak list of HoSi2Ir4 (a crystal structure in Alexandria, relaxed with PBE; Cu Kα X-rays).

Most intense lines, 2θ from 10° to 90°, low angle first:
| 2θ/deg | Rel. int. |
| --- | --- |
| 12.94 | 28 |
| 37.10 | 100 |
| 39.52 | 17 |
| 44.46 | 18 |
| 45.17 | 17 |
| 45.89 | 15 |
| 65.24 | 12 |
| 70.10 | 12 |
| 76.99 | 12 |
| 78.01 | 12 |

Atomic structure:
Cell: 7.1383 7.1383 4.0150 Å, 90.00 90.00 146.82°
Element x y z (fractional)
Ho1 0.0000 0.0000 0.0000
Si1 0.4124 0.5876 0.5000
Si2 0.5876 0.4124 0.5000
Ir1 0.1745 0.8255 0.5000
Ir2 0.3196 0.6804 0.0000
Ir3 0.6804 0.3196 0.0000
Ir4 0.8255 0.1745 0.5000

---

No. 3
Structure and theoretical XRD peak list of CePdO (a crystal structure in Alexandria, relaxed with PBE; Cu Kα X-rays).

Most intense lines, 2θ from 10° to 90°, low angle first:
| 2θ/deg | Rel. int. |
| --- | --- |
| 24.38 | 54 |
| 33.70 | 71 |
| 35.34 | 13 |
| 38.00 | 100 |
| 48.40 | 34 |
| 49.63 | 29 |
| 54.92 | 12 |
| 63.13 | 45 |
| 72.75 | 14 |
| 80.81 | 12 |

Atomic structure:
Cell: 8.0699 8.0699 8.0699 Å, 153.05 153.05 38.48°
Element x y z (fractional)
Ce1 0.0946 0.0946 0.0000
Ce2 0.9054 0.9054 0.0000
Pd1 0.2818 0.2818 0.0000
Pd2 0.7182 0.7182 0.0000
O1 0.0000 0.5000 0.5000
O2 0.5000 0.0000 0.5000

---

No. 4
Structure and theoretical XRD peak list of LiCu3Se3 (a crystal structure in Alexandria, relaxed with PBE; Cu Kα X-rays).

Most intense lines, 2θ from 10° to 90°, low angle first:
| 2θ/deg | Rel. int. |
| --- | --- |
| 13.19 | 72 |
| 26.46 | 100 |
| 26.57 | 28 |
| 29.68 | 45 |
| 37.85 | 79 |
| 46.71 | 88 |
| 48.88 | 98 |
| 54.53 | 35 |
| 69.92 | 32 |
| 88.34 | 37 |

Atomic structure:
Cell: 7.7556 7.7556 7.7556 Å, 51.48 51.48 51.48°
Element x y z (fractional)
Li1 0.1660 0.1660 0.1660
Li2 0.8340 0.8340 0.8340
Cu1 0.0365 0.7054 0.3711
Cu2 0.2946 0.6289 0.9635
Cu3 0.3711 0.0365 0.7054
Cu4 0.6289 0.9635 0.2946
Cu5 0.7054 0.3711 0.0365
Cu6 0.9635 0.2946 0.6289
Se1 0.0858 0.4185 0.7514
Se2 0.2486 0.9142 0.5815
Se3 0.4185 0.7514 0.0858
Se4 0.5815 0.2486 0.9142
Se5 0.7514 0.0858 0.4185
Se6 0.9142 0.5815 0.2486

---

No. 5
Structure and theoretical XRD peak list of Er2TcO6 (a crystal structure in Alexandria, relaxed with PBE; Cu Kα X-rays).

Most intense lines, 2θ from 10° to 90°, low angle first:
| 2θ/deg | Rel. int. |
| --- | --- |
| 25.42 | 100 |
| 32.61 | 87 |
| 36.25 | 25 |
| 49.55 | 69 |
| 52.21 | 17 |
| 58.93 | 17 |
| 62.19 | 17 |
| 62.92 | 21 |
| 74.83 | 15 |
| 86.10 | 14 |

Atomic structure:
Cell: 4.9558 4.9558 9.8978 Å, 90.00 90.00 90.00°
Element x y z (fractional)
Er1 0.0000 0.0000 0.1715
Er2 0.0000 0.0000 0.8285
Er3 0.5000 0.5000 0.3285
Er4 0.5000 0.5000 0.6715
Tc1 0.0000 0.0000 0.5000
Tc2 0.5000 0.5000 0.0000
O1 0.1877 0.1877 0.3520
O2 0.1877 0.1877 0.6480
O3 0.2290 0.2290 0.0000
O4 0.2710 0.7290 0.5000
O5 0.3123 0.6877 0.1480
O6 0.3123 0.6877 0.8520
O7 0.6877 0.3123 0.1480
O8 0.6877 0.3123 0.8520
O9 0.7290 0.2710 0.5000
O10 0.7710 0.7710 0.0000
O11 0.8123 0.8123 0.3520
O12 0.8123 0.8123 0.6480

---

No. 6
Structure and theoretical XRD peak list of Ca4LaPr3 (a crystal structure in Alexandria, relaxed with PBE; Cu Kα X-rays).

Most intense lines, 2θ from 10° to 90°, low angle first:
| 2θ/deg | Rel. int. |
| --- | --- |
| 24.83 | 15 |
| 28.71 | 100 |
| 33.13 | 16 |
| 33.33 | 34 |
| 34.30 | 23 |
| 47.71 | 22 |
| 47.86 | 12 |
| 56.50 | 12 |
| 56.77 | 28 |
| 59.44 | 11 |

Atomic structure:
Cell: 5.3751 10.7533 10.8158 Å, 90.00 90.00 90.00°
Element x y z (fractional)
Ca1 0.2500 0.0007 0.1322
Ca2 0.2500 0.2500 0.8681
Ca3 0.2500 0.4993 0.1322
Ca4 0.2500 0.7500 0.8670
Ca5 0.7500 0.2500 0.1330
Ca6 0.7500 0.5007 0.8678
Ca7 0.7500 0.7500 0.1319
Ca8 0.7500 0.9993 0.8678
La1 0.2500 0.7500 0.3890
La2 0.7500 0.2500 0.6110
Pr1 0.2500 0.9996 0.6126
Pr2 0.2500 0.2500 0.3877
Pr3 0.2500 0.5004 0.6126
Pr4 0.7500 0.0004 0.3874
Pr5 0.7500 0.4996 0.3874
Pr6 0.7500 0.7500 0.6123

---

No. 7
Structure and theoretical XRD peak list of VW4 (a crystal structure in Alexandria, relaxed with PBE; Cu Kα X-rays).

Most intense lines, 2θ from 10° to 90°, low angle first:
| 2θ/deg | Rel. int. |
| --- | --- |
| 13.33 | 16 |
| 21.07 | 13 |
| 38.77 | 32 |
| 39.14 | 33 |
| 39.52 | 100 |
| 40.57 | 44 |
| 41.79 | 50 |
| 57.36 | 21 |
| 73.11 | 16 |
| 85.07 | 15 |

Atomic structure:
Cell: 7.1034 7.1034 2.6909 Å, 99.66 99.66 36.48°
Element x y z (fractional)
V1 0.0000 0.0000 0.0000
W1 0.1996 0.1996 0.1118
W2 0.4013 0.4013 0.6091
W3 0.5987 0.5987 0.3909
W4 0.8004 0.8004 0.8882